(1)
Calculated powder diffraction line list of TbPrEuTh for copper Kα, from a crystal structure in Alexandria, relaxed with PBE.
Neutral-atom scattering factors, no anomalous dispersion.

Top 10 peaks for 5 to 70 degrees two-theta, low angle first:
- 18.68 deg, I = 2
- 21.60 deg, I = 1
- 30.74 deg, I = 100
- 36.21 deg, I = 1
- 44.02 deg, I = 19
- 48.21 deg, I = 1
- 49.55 deg, I = 1
- 54.65 deg, I = 40
- 58.27 deg, I = 1
- 64.02 deg, I = 12

Cell: 8.228 8.228 8.228 Å, 90.00 90.00 90.00°
Space group F-43m (No. 216)
Inequivalent atoms, fractional coordinates:
Tb (0.000, 0.000, 0.000) x4
Pr (0.000, 0.000, 0.500) x4
Eu (0.250, 0.250, 0.750) x4
Th (0.250, 0.250, 0.250) x4


(2)
Calculated powder diffraction line list of Pr2EuTh for copper Kα, from a crystal structure in Alexandria, relaxed with PBE.
Neutral-atom scattering factors, no anomalous dispersion.

Top 10 peaks for 5 to 70 degrees two-theta, low angle first:
- 6.92 deg, I = 42
- 27.93 deg, I = 54
- 28.73 deg, I = 100
- 30.69 deg, I = 42
- 32.81 deg, I = 18
- 34.07 deg, I = 33
- 36.94 deg, I = 84
- 50.18 deg, I = 39
- 58.41 deg, I = 42
- 60.76 deg, I = 22

Cell: 3.6361 3.6361 38.3285 Å, 90.00 90.00 120.00°
Space group R-3m (No. 166, hexagonal axes)
Inequivalent atoms, fractional coordinates:
Pr (0.0000, 0.0000, 0.0919) x6
Eu (0.0000, 0.0000, 0.0000) x3
Th (0.0000, 0.0000, 0.5000) x3


(3)
Calculated powder diffraction line list of Eu4Pt for copper Kα, from a crystal structure in Alexandria, relaxed with PBE.
Neutral-atom scattering factors, no anomalous dispersion.

Top 10 peaks for 5 to 70 degrees two-theta, low angle first:
- 21.19 deg, I = 28
- 24.90 deg, I = 13
- 26.03 deg, I = 100
- 30.14 deg, I = 24
- 32.92 deg, I = 23
- 37.14 deg, I = 11
- 39.48 deg, I = 19
- 43.15 deg, I = 65
- 51.08 deg, I = 42
- 69.04 deg, I = 15

Cell: 11.860 11.860 11.860 Å, 90.00 90.00 90.00°
Space group Fd-3m (No. 227, origin choice 2)
Inequivalent atoms, fractional coordinates:
Eu (0.010, 0.010, 0.240) x32
Pt (0.125, 0.125, 0.625) x8


(4)
Calculated powder diffraction line list of SrEuTlPt for copper Kα, from a crystal structure in Alexandria, relaxed with PBE.
Neutral-atom scattering factors, no anomalous dispersion.

Top 10 peaks for 5 to 70 degrees two-theta, low angle first:
- 20.16 deg, I = 2
- 23.31 deg, I = 7
- 33.21 deg, I = 100
- 39.15 deg, I = 1
- 40.97 deg, I = 2
- 47.67 deg, I = 18
- 52.26 deg, I = 1
- 53.72 deg, I = 3
- 59.33 deg, I = 38
- 69.71 deg, I = 12

Cell: 7.631 7.631 7.631 Å, 90.00 90.00 90.00°
Space group F-43m (No. 216)
Inequivalent atoms, fractional coordinates:
Sr (0.000, 0.000, 0.000) x4
Eu (0.000, 0.000, 0.500) x4
Tl (0.250, 0.250, 0.750) x4
Pt (0.250, 0.250, 0.250) x4